Ce4Zn3Sb8: theoretical X-ray diffraction stick pattern (CuKα), based on a crystal structure in the Materials Project, relaxed with PBE.
Lines closer than 0.1° are merged.

Peak list (12 most intense, 2θ = 10–90°, low angle first)
26.80 deg, rel. 23, (0 0 6)
29.70 deg, rel. 13, (1 1 2)
33.60 deg, rel. 100, (1 1 4)
35.99 deg, rel. 9, (0 0 8)
40.43 deg, rel. 35, (2 0 0)
49.17 deg, rel. 12, (2 0 6)
50.05 deg, rel. 11, (1 0 10)
55.22 deg, rel. 11, (2 0 8)
58.51 deg, rel. 12, (2 2 0)
66.22 deg, rel. 10, (2 1 10)
69.18 deg, rel. 27, (3 1 4)
83.29 deg, rel. 7, (2 1 14)

Cell and atoms:
```
Ce4Zn3Sb8
1.0
4.4621 0.0000 0.0000
0.0000 4.4621 0.0000
0.0000 0.0000 19.9646
Ce Zn Sb
4 3 8
direct
0.0000 0.5000 0.1248
0.0000 0.5000 0.6294
0.5000 0.0000 0.3706
0.5000 0.0000 0.8752
0.0000 0.0000 0.0000
0.0000 0.0000 0.5000
0.5000 0.5000 0.5000
0.0000 0.0000 0.2484
0.0000 0.0000 0.7516
0.0000 0.5000 0.4115
0.0000 0.5000 0.9202
0.5000 0.0000 0.0798
0.5000 0.0000 0.5885
0.5000 0.5000 0.2487
0.5000 0.5000 0.7513
```


Ce2ZnSb4: theoretical X-ray diffraction stick pattern (CuKα), based on a crystal structure in the Materials Project, relaxed with PBE.
Lines closer than 0.1° are merged.

Peak list (12 most intense, 2θ = 10–90°, low angle first)
27.27 deg, rel. 17, (1 0 2)
27.63 deg, rel. 16, (0 0 3)
29.96 deg, rel. 26, (1 1 1)
34.07 deg, rel. 100, (1 1 2)
34.36 deg, rel. 19, (1 0 3)
40.70 deg, rel. 43, (2 0 0)
49.90 deg, rel. 13, (2 0 3)
51.48 deg, rel. 16, (1 0 5)
54.29 deg, rel. 10, (2 1 3)
58.91 deg, rel. 14, (2 2 0)
67.61 deg, rel. 14, (2 1 5)
69.83 deg, rel. 24, (3 1 2)

Cell and atoms:
```
Ce2ZnSb4
1.0
4.4340 0.0000 0.0000
0.0000 4.4340 0.0000
0.0000 0.0000 9.6854
Ce Zn Sb
2 1 4
direct
0.0000 0.5000 0.2466
0.5000 0.0000 0.7534
0.0000 0.0000 0.0000
0.0000 0.0000 0.5000
0.0000 0.5000 0.8380
0.5000 0.0000 0.1620
0.5000 0.5000 0.5000
```


Ce3ZrSb5: theoretical X-ray diffraction stick pattern (CuKα), based on a crystal structure in the Materials Project, relaxed with PBE.
Lines closer than 0.1° are merged.

Peak list (12 most intense, 2θ = 10–90°, low angle first)
28.21 deg, rel. 12, (0 0 2)
32.32 deg, rel. 68, (2 1 1)
32.97 deg, rel. 86, (3 0 0)
34.15 deg, rel. 100, (1 1 2)
42.46 deg, rel. 19, (3 1 1)
48.20 deg, rel. 27, (2 2 2)
50.92 deg, rel. 12, (3 2 1)
52.59 deg, rel. 17, (2 1 3)
59.63 deg, rel. 15, (4 1 2)
62.00 deg, rel. 12, (4 2 1)
65.43 deg, rel. 11, (5 1 1)
68.66 deg, rel. 20, (3 0 4)

Cell and atoms:
```
Ce3ZrSb5
1.0
9.4122 0.0000 0.0000
-4.7061 8.1512 0.0000
0.0000 0.0000 6.3273
Ce Zr Sb
6 2 10
direct
0.0000 0.3826 0.2500
0.0000 0.6174 0.7500
0.3826 0.0000 0.2500
0.3826 0.3826 0.7500
0.6174 0.0000 0.7500
0.6174 0.6174 0.2500
0.0000 0.0000 0.0000
0.0000 0.0000 0.5000
0.0000 0.2674 0.7500
0.0000 0.7326 0.2500
0.2674 0.0000 0.7500
0.2674 0.2674 0.2500
0.3333 0.6667 0.0000
0.3333 0.6667 0.5000
0.6667 0.3333 0.0000
0.6667 0.3333 0.5000
0.7326 0.0000 0.2500
0.7326 0.7326 0.7500
```


Ce2ScSi2: theoretical X-ray diffraction stick pattern (CuKα), based on a crystal structure in the Materials Project, relaxed with PBE.
Lines closer than 0.1° are merged.

Peak list (12 most intense, 2θ = 10–90°, low angle first)
20.41 deg, rel. 25, (0 0 1)
24.47 deg, rel. 17, (2 0 0)
27.41 deg, rel. 40, (2 1 0)
32.07 deg, rel. 55, (2 0 1)
34.41 deg, rel. 100, (2 1 1)
39.15 deg, rel. 22, (3 1 0)
41.50 deg, rel. 19, (0 0 2)
50.45 deg, rel. 15, (2 1 2)
51.81 deg, rel. 18, (4 1 0)
56.25 deg, rel. 26, (4 1 1)
57.79 deg, rel. 16, (3 3 1)
68.45 deg, rel. 15, (4 1 2)

Cell and atoms:
```
Ce2ScSi2
1.0
7.2759 0.0000 0.0000
0.0000 7.2759 0.0000
0.0000 0.0000 4.3522
Ce Sc Si
4 2 4
direct
0.1791 0.3209 0.0000
0.3209 0.8209 0.0000
0.6791 0.1791 0.0000
0.8209 0.6791 0.0000
0.0000 0.0000 0.5000
0.5000 0.5000 0.5000
0.1199 0.6199 0.5000
0.3801 0.1199 0.5000
0.6199 0.8801 0.5000
0.8801 0.3801 0.5000
```